# 1
Diffraction record for Th2Co3CuGe4. The powder diffractogram is computed, not measured: it uses a cell relaxed with PBE and λ = 1.5418 Å (Cu Kα).
Neutral-atom scattering factors, no anomalous dispersion.

Unit cell a=4.1719 b=4.1719 c=9.7237 alpha=90.00 beta=90.00 gamma=90.00
Fractional coordinates of all 10 atoms:
Th (0.0000, 0.5000, 0.2485)
Th (0.5000, 0.0000, 0.7515)
Co (0.0000, 0.5000, 0.8776)
Co (0.5000, 0.0000, 0.1224)
Co (0.5000, 0.5000, 0.5000)
Cu (0.0000, 0.0000, 0.5000)
Ge (0.0000, 0.0000, 0.0000)
Ge (0.0000, 0.5000, 0.6347)
Ge (0.5000, 0.0000, 0.3653)
Ge (0.5000, 0.5000, 0.0000)

Top 10 peaks for 15° ≤ 2θ ≤ 90°, low angle first:
2θ (°)  d [Å]  I_rel
23.2  3.834  31
30.3  2.950  27
35.1  2.560  73
35.6  2.522  100
43.4  2.086  52
51.9  1.763  27
56.9  1.617  37
63.0  1.475  17
69.9  1.346  22
74.5  1.273  23

---

# 2
Diffraction record for LaCo2CuH8. The powder diffractogram is computed, not measured: it uses a cell relaxed with PBE and λ = 1.5418 Å (Cu Kα).
Neutral-atom scattering factors, no anomalous dispersion.

Unit cell a=6.0462 b=6.0462 c=6.0462 alpha=43.81 beta=43.81 gamma=43.81
Fractional coordinates of all 12 atoms:
La (0.0000, 0.0000, 0.0000)
Co (0.1974, 0.1974, 0.1974)
Co (0.8026, 0.8026, 0.8026)
Cu (0.5000, 0.5000, 0.5000)
H (0.1188, 0.4101, 0.8449)
H (0.1551, 0.8812, 0.5899)
H (0.2959, 0.2959, 0.2959)
H (0.4101, 0.8449, 0.1188)
H (0.5899, 0.1551, 0.8812)
H (0.7041, 0.7041, 0.7041)
H (0.8449, 0.1188, 0.4101)
H (0.8812, 0.5899, 0.1551)

Top 10 peaks for 15° ≤ 2θ ≤ 90°, low angle first:
2θ (°)  d [Å]  I_rel
23.4  3.800  44
25.3  3.526  34
31.7  2.826  98
32.8  2.728  35
35.8  2.509  44
40.0  2.256  100
51.9  1.763  24
52.6  1.738  53
61.4  1.510  27
67.4  1.389  24